[1]
Li4Cu2Ir3: calculated powder X-ray diffraction pattern (Cu Kα), based on DFT lattice parameters and positions (GGA-PBE).

Top 6 peaks for 10° ≤ 2θ ≤ 90°, in order of rising 2θ:
2θ = 24.0°, d 3.703, I = 100
2θ = 42.3°, d 2.138, I = 51
2θ = 44.1°, d 2.054, I = 72
2θ = 49.2°, d 1.852, I = 15
2θ = 62.7°, d 1.481, I = 25
2θ = 78.5°, d 1.218, I = 18

Structure:
abc: 7.402 7.402 4.936
angles: 90.00 90.00 119.89
Positions (direct):
1 Li 0.160 0.168 0.000
2 Li 0.167 0.501 0.000
3 Li 0.168 0.160 0.500
4 Li 0.499 0.833 0.500
5 Li 0.501 0.167 0.500
6 Li 0.832 0.840 0.500
7 Li 0.833 0.499 0.000
8 Li 0.840 0.832 0.000
9 Cu 0.163 0.489 0.500
10 Cu 0.489 0.163 0.000
11 Cu 0.511 0.837 0.000
12 Cu 0.837 0.511 0.500
13 Ir 0.171 0.829 0.250
14 Ir 0.171 0.829 0.750
15 Ir 0.500 0.500 0.250
16 Ir 0.500 0.500 0.750
17 Ir 0.829 0.171 0.250
18 Ir 0.829 0.171 0.750

***

[2]
Nb3H: calculated powder X-ray diffraction pattern (Cu Kα), based on DFT lattice parameters and positions (GGA-PBE).

Top 6 peaks for 10° ≤ 2θ ≤ 90°, in order of rising 2θ:
2θ = 34.2°, d 2.622, I = 93
2θ = 34.3°, d 2.611, I = 86
2θ = 34.9°, d 2.573, I = 100
2θ = 39.9°, d 2.260, I = 67
2θ = 40.0°, d 2.253, I = 74
2θ = 47.7°, d 1.905, I = 86

Structure:
abc: 2.774 2.787 7.719
angles: 90.00 90.00 90.00
Positions (direct):
1 Nb 0.000 0.000 0.000
2 Nb 0.000 0.500 0.351
3 Nb 0.500 0.500 0.692
4 H 0.500 0.000 0.249

***

[3]
BiRh3S2: calculated powder X-ray diffraction pattern (Cu Kα), based on DFT lattice parameters and positions (GGA-PBE).

Top 6 peaks for 10° ≤ 2θ ≤ 90°, in order of rising 2θ:
2θ = 23.8°, d 3.738, I = 60
2θ = 34.6°, d 2.590, I = 100
2θ = 46.5°, d 1.952, I = 30
2θ = 49.3°, d 1.850, I = 51
2θ = 52.9°, d 1.730, I = 28
2θ = 88.3°, d 1.106, I = 20

Structure:
abc: 3.904 3.904 14.953
angles: 90.00 90.00 90.00
Positions (direct):
1 Bi 0.000 0.000 0.000
2 Bi 0.500 0.500 0.500
3 Rh 0.000 0.000 0.500
4 Rh 0.000 0.500 0.250
5 Rh 0.000 0.500 0.750
6 Rh 0.500 0.000 0.250
7 Rh 0.500 0.000 0.750
8 Rh 0.500 0.500 0.000
9 S 0.000 0.000 0.342
10 S 0.000 0.000 0.658
11 S 0.500 0.500 0.158
12 S 0.500 0.500 0.842

***

[4]
Th4Pd7Pt6: calculated powder X-ray diffraction pattern (Cu Kα), based on DFT lattice parameters and positions (GGA-PBE).

Top 6 peaks for 10° ≤ 2θ ≤ 90°, in order of rising 2θ:
2θ = 29.1°, d 3.067, I = 13
2θ = 32.6°, d 2.743, I = 15
2θ = 35.9°, d 2.504, I = 100
2θ = 41.6°, d 2.169, I = 57
2θ = 60.4°, d 1.534, I = 31
2θ = 72.2°, d 1.308, I = 27

Structure:
abc: 7.513 7.513 7.513
angles: 109.47 109.47 109.47
Positions (direct):
1 Th 0.000 0.000 0.500
2 Th 0.000 0.500 0.000
3 Th 0.500 0.000 0.000
4 Th 0.500 0.500 0.500
5 Pd 0.000 0.000 0.000
6 Pd 0.250 0.500 0.750
7 Pd 0.250 0.750 0.500
8 Pd 0.500 0.250 0.750
9 Pd 0.500 0.750 0.250
10 Pd 0.750 0.250 0.500
11 Pd 0.750 0.500 0.250
12 Pt 0.000 0.299 0.299
13 Pt 0.000 0.701 0.701
14 Pt 0.299 0.000 0.299
15 Pt 0.299 0.299 0.000
16 Pt 0.701 0.000 0.701
17 Pt 0.701 0.701 0.000

***

[5]
La3Ho7: calculated powder X-ray diffraction pattern (Cu Kα), based on DFT lattice parameters and positions (GGA-PBE).

Top 6 peaks for 10° ≤ 2θ ≤ 90°, in order of rising 2θ:
2θ = 30.3°, d 2.953, I = 21
2θ = 31.4°, d 2.852, I = 54
2θ = 31.5°, d 2.842, I = 100
2θ = 31.8°, d 2.814, I = 95
2θ = 55.9°, d 1.645, I = 20
2θ = 61.9°, d 1.498, I = 29

Structure:
abc: 8.858 8.858 7.039
angles: 101.67 101.67 37.57
Positions (direct):
1 La 0.000 0.000 0.000
2 La 0.216 0.216 0.849
3 La 0.784 0.784 0.151
4 Ho 0.000 0.000 0.500
5 Ho 0.210 0.210 0.358
6 Ho 0.399 0.399 0.203
7 Ho 0.403 0.403 0.691
8 Ho 0.597 0.597 0.309
9 Ho 0.601 0.601 0.797
10 Ho 0.790 0.790 0.642

***

[6]
Pu2H6PdRu: calculated powder X-ray diffraction pattern (Cu Kα), based on DFT lattice parameters and positions (GGA-PBE).

Top 6 peaks for 10° ≤ 2θ ≤ 90°, in order of rising 2θ:
2θ = 25.9°, d 3.439, I = 23
2θ = 30.8°, d 2.901, I = 46
2θ = 33.6°, d 2.670, I = 43
2θ = 34.3°, d 2.612, I = 100
2θ = 61.0°, d 1.519, I = 16
2θ = 61.5°, d 1.508, I = 19

Structure:
abc: 9.322 9.322 9.322
angles: 32.54 32.54 32.54
Positions (direct):
1 Pu 0.128 0.128 0.128
2 Pu 0.279 0.279 0.279
3 Pu 0.721 0.721 0.721
4 Pu 0.872 0.872 0.872
5 H 0.123 0.638 0.638
6 H 0.184 0.184 0.772
7 H 0.184 0.772 0.184
8 H 0.228 0.816 0.816
9 H 0.362 0.362 0.877
10 H 0.362 0.877 0.362
11 H 0.638 0.123 0.638
12 H 0.638 0.638 0.123
13 H 0.772 0.184 0.184
14 H 0.816 0.228 0.816
15 H 0.816 0.816 0.228
16 H 0.877 0.362 0.362
17 Pd 0.391 0.391 0.391
18 Pd 0.609 0.609 0.609
19 Ru 0.000 0.000 0.000
20 Ru 0.500 0.500 0.500

***

Please write out number 3 again, unchanged.
BiRh3S2: calculated powder X-ray diffraction pattern (Cu Kα), based on DFT lattice parameters and positions (GGA-PBE).

Top 6 peaks for 10° ≤ 2θ ≤ 90°, in order of rising 2θ:
2θ = 23.8°, d 3.738, I = 60
2θ = 34.6°, d 2.590, I = 100
2θ = 46.5°, d 1.952, I = 30
2θ = 49.3°, d 1.850, I = 51
2θ = 52.9°, d 1.730, I = 28
2θ = 88.3°, d 1.106, I = 20

Structure:
abc: 3.904 3.904 14.953
angles: 90.00 90.00 90.00
Positions (direct):
1 Bi 0.000 0.000 0.000
2 Bi 0.500 0.500 0.500
3 Rh 0.000 0.000 0.500
4 Rh 0.000 0.500 0.250
5 Rh 0.000 0.500 0.750
6 Rh 0.500 0.000 0.250
7 Rh 0.500 0.000 0.750
8 Rh 0.500 0.500 0.000
9 S 0.000 0.000 0.342
10 S 0.000 0.000 0.658
11 S 0.500 0.500 0.158
12 S 0.500 0.500 0.842